Record 1
This entry pairs a crystal structure of K2TmH4S2O10 with its theoretical powder XRD pattern. Radiation: CuKα. Structure: the GGA-PBE geometry in OQMD.

Crystal structure
Unit cell a=5.601 b=6.267 c=7.248 alpha=106.28 beta=94.37 gamma=107.78
Fractional coordinates of all 19 atoms:
K: 0.197 0.322 0.244
K: 0.803 0.678 0.756
Tm: 0.500 0.000 0.500
H: 0.305 0.805 0.078
H: 0.411 0.038 0.865
H: 0.589 0.962 0.135
H: 0.695 0.195 0.922
S: 0.152 0.309 0.741
S: 0.848 0.691 0.259
O: 0.093 0.744 0.392
O: 0.128 0.131 0.845
O: 0.230 0.552 0.877
O: 0.349 0.295 0.611
O: 0.421 0.958 0.171
O: 0.579 0.042 0.829
O: 0.651 0.705 0.389
O: 0.770 0.448 0.123
O: 0.872 0.869 0.155
O: 0.907 0.256 0.608

Principal peaks in the range 5° ≤ 2θ ≤ 70°, by angle:
- 6.847 Å, I = 78.7
- 5.262 Å, I = 100.0
- 3.459 Å, I = 45.0
- 3.323 Å, I = 72.9
- 2.944 Å, I = 48.5
- 2.769 Å, I = 41.3

Record 2
This entry pairs a crystal structure of K3H4Pd2 with its theoretical powder XRD pattern. Radiation: CuKα. Structure: the GGA-PBE geometry in OQMD.

Crystal structure
Unit cell a=5.608 b=5.608 c=11.145 alpha=90.00 beta=90.00 gamma=114.44
Fractional coordinates of all 18 atoms:
K: 0.165 0.835 0.583
K: 0.165 0.835 0.917
K: 0.201 0.799 0.250
K: 0.799 0.201 0.750
K: 0.835 0.165 0.083
K: 0.835 0.165 0.417
H: 0.278 0.349 0.623
H: 0.278 0.349 0.877
H: 0.349 0.278 0.123
H: 0.349 0.278 0.377
H: 0.651 0.722 0.623
H: 0.651 0.722 0.877
H: 0.722 0.651 0.123
H: 0.722 0.651 0.377
Pd: 0.468 0.532 0.750
Pd: 0.500 0.500 0.000
Pd: 0.500 0.500 0.500
Pd: 0.532 0.468 0.250

Principal peaks in the range 5° ≤ 2θ ≤ 70°, by angle:
- 5.106 Å, I = 99.8
- 4.715 Å, I = 30.8
- 3.037 Å, I = 59.0
- 2.791 Å, I = 100.0
- 2.446 Å, I = 55.3
- 1.972 Å, I = 21.3

Record 3
This entry pairs a crystal structure of K2ReH9 with its theoretical powder XRD pattern. Radiation: CuKα. Structure: the GGA-PBE geometry in OQMD.

Crystal structure
Unit cell a=9.277 b=9.277 c=5.386 alpha=90.00 beta=90.00 gamma=120.00
Fractional coordinates of all 36 atoms:
K: 0.000 0.262 0.000
K: 0.000 0.589 0.500
K: 0.262 0.000 0.000
K: 0.411 0.411 0.500
K: 0.589 0.000 0.500
K: 0.738 0.738 0.000
Re: 0.000 0.000 0.500
Re: 0.333 0.667 0.000
Re: 0.667 0.333 0.000
H: 0.000 0.183 0.500
H: 0.000 0.868 0.279
H: 0.000 0.868 0.721
H: 0.132 0.132 0.279
H: 0.132 0.132 0.721
H: 0.134 0.623 0.000
H: 0.183 0.000 0.500
H: 0.225 0.526 0.231
H: 0.225 0.526 0.769
H: 0.302 0.775 0.231
H: 0.302 0.775 0.769
H: 0.377 0.510 0.000
H: 0.474 0.698 0.231
H: 0.474 0.698 0.769
H: 0.490 0.866 0.000
H: 0.510 0.377 0.000
H: 0.526 0.225 0.231
H: 0.526 0.225 0.769
H: 0.623 0.134 0.000
H: 0.698 0.474 0.231
H: 0.698 0.474 0.769
H: 0.775 0.302 0.231
H: 0.775 0.302 0.769
H: 0.817 0.817 0.500
H: 0.866 0.490 0.000
H: 0.868 0.000 0.279
H: 0.868 0.000 0.721

Principal peaks in the range 5° ≤ 2θ ≤ 70°, by angle:
- 4.639 Å, I = 100.0
- 4.474 Å, I = 82.5
- 3.220 Å, I = 89.4
- 2.678 Å, I = 49.4
- 2.645 Å, I = 67.9
- 1.899 Å, I = 36.9